# 1
Diffraction record for Er3AlIn2. The powder XRD pattern is computed, not measured: it uses a DFT-relaxed cell (GGA-PBE, Alexandria) and Cu Kα (λ = 1.5418 Å).

Crystal structure
abc: 5.235 15.680 3.643
angles: 90.00 90.00 90.00
Space group Cmmm (No. 65)
Symmetry-distinct sites (fractional):
Er: 0.000 0.000 0.000 (multiplicity 2)
Er: 0.000 0.340 0.000 (multiplicity 4)
Al: 0.000 0.500 0.500 (multiplicity 2)
In: 0.000 0.170 0.500 (multiplicity 4)

Principal peaks in the range 2θ = 10–90°, by angle:
2θ (°)	d [Å]	I/Imax	(hkl)
24.06	3.699	12	1 3 0
34.29	2.615	51	2 0 0
34.56	2.596	100	1 3 1
49.27	1.849	18	2 6 0
50.07	1.822	9	0 0 2
61.54	1.507	20	3 3 1
61.61	1.505	17	1 9 1
62.09	1.495	18	2 0 2
72.88	1.298	11	2 6 2
82.46	1.170	8	4 6 0

***

# 2
Diffraction record for Ga2BiI6. The powder XRD pattern is computed, not measured: it uses a DFT-relaxed cell (GGA-PBE, Alexandria) and Cu Kα (λ = 1.5418 Å).

Crystal structure
abc: 15.405 15.250 9.189
angles: 90.00 113.93 90.00
Space group C2/c (No. 15)
Symmetry-distinct sites (fractional):
Ga: 0.186 0.096 0.248 (multiplicity 8)
Bi: 0.000 0.417 0.250 (multiplicity 4)
I: 0.104 0.412 0.626 (multiplicity 8)
I: 0.139 0.287 0.233 (multiplicity 8)
I: 0.147 0.006 0.962 (multiplicity 8)

Principal peaks in the range 2θ = 10–90°, by angle:
2θ (°)	d [Å]	I/Imax	(hkl)
11.42	7.747	100	1 1 -1
11.61	7.625	71	0 2 0
17.25	5.141	94	2 2 -1
19.79	4.486	78	3 1 0
24.82	3.588	65	3 3 -1
25.15	3.541	80	1 1 2
25.87	3.444	66	3 3 0
26.65	3.345	52	2 4 -1
34.10	2.629	52	5 3 -1
41.57	2.173	62	7 1 -2

***

# 3
Diffraction record for Ce2CuGePt6. The powder XRD pattern is computed, not measured: it uses a DFT-relaxed cell (GGA-PBE, Alexandria) and Cu Kα (λ = 1.5418 Å).

Crystal structure
abc: 5.5669 5.5669 23.3013
angles: 90.00 90.00 120.00
Space group R-3m (No. 166, hexagonal axes)
Symmetry-distinct sites (fractional):
Ce: 0.0000 0.0000 0.2022 (multiplicity 6)
Cu: 0.0000 0.0000 0.5000 (multiplicity 3)
Ge: 0.0000 0.0000 0.0000 (multiplicity 3)
Pt: 0.0052 0.5026 0.2521 (multiplicity 18)

Principal peaks in the range 2θ = 10–90°, by angle:
2θ (°)	d [Å]	I/Imax	(hkl)
19.93	4.455	27	0 1 2
22.90	3.884	65	0 0 6
26.60	3.351	18	0 1 5
38.12	2.361	93	2 0 2
39.85	2.262	37	1 1 6
40.50	2.227	100	0 2 4
43.12	2.098	28	1 0 10
49.06	1.857	35	2 0 8
67.27	1.392	29	2 2 0
72.09	1.310	17	2 2 6

***

# 4
Diffraction record for Mg3P. The powder XRD pattern is computed, not measured: it uses a DFT-relaxed cell (GGA-PBE, Alexandria) and Cu Kα (λ = 1.5418 Å).

Crystal structure
abc: 5.893 8.534 3.103
angles: 90.00 90.00 90.00
Space group Cmmm (No. 65)
Symmetry-distinct sites (fractional):
Mg: 0.000 0.000 0.000 (multiplicity 2)
Mg: 0.250 0.250 0.500 (multiplicity 4)
P: 0.000 0.500 0.000 (multiplicity 2)

Principal peaks in the range 2θ = 10–90°, by angle:
2θ (°)	d [Å]	I/Imax	(hkl)
35.78	2.510	100	0 2 1
37.08	2.425	90	2 2 0
42.32	2.136	91	2 0 1
59.59	1.551	11	0 0 2
61.41	1.510	38	2 4 1
72.31	1.307	23	2 2 2
73.20	1.293	11	0 6 1
74.01	1.281	11	2 6 0
74.72	1.270	21	4 2 1
75.82	1.255	10	0 4 2

***

# 5
Diffraction record for AcPm15Tm4. The powder XRD pattern is computed, not measured: it uses a DFT-relaxed cell (GGA-PBE, Alexandria) and Cu Kα (λ = 1.5418 Å).

Crystal structure
abc: 5.144 5.144 25.652
angles: 90.00 90.00 90.00
Space group P4/mmm (No. 123)
Symmetry-distinct sites (fractional):
Ac: 0.000 0.000 0.000 (multiplicity 1)
Pm: 0.000 0.500 0.106 (multiplicity 4)
Pm: 0.000 0.500 0.303 (multiplicity 4)
Pm: 0.000 0.500 0.500 (multiplicity 2)
Pm: 0.500 0.500 0.000 (multiplicity 1)
Pm: 0.500 0.500 0.205 (multiplicity 2)
Pm: 0.500 0.500 0.402 (multiplicity 2)
Tm: 0.000 0.000 0.204 (multiplicity 2)
Tm: 0.000 0.000 0.401 (multiplicity 2)

Principal peaks in the range 2θ = 10–90°, by angle:
2θ (°)	d [Å]	I/Imax	(hkl)
30.12	2.967	100	1 1 5
34.92	2.570	51	2 0 0
50.21	1.817	36	2 2 0
59.63	1.551	29	3 1 5
59.75	1.548	13	1 1 15
62.62	1.484	12	2 2 10
81.59	1.180	6	3 3 5
81.70	1.179	11	3 1 15
84.17	1.150	6	4 2 0
84.23	1.150	5	4 0 10

***

# 6
Diffraction record for BaNaPdO2. The powder XRD pattern is computed, not measured: it uses a DFT-relaxed cell (GGA-PBE, Alexandria) and Cu Kα (λ = 1.5418 Å).

Crystal structure
abc: 5.510 6.199 5.034
angles: 90.00 90.00 90.00
Space group Pmma (No. 51)
Symmetry-distinct sites (fractional):
Ba: 0.250 0.000 0.224 (multiplicity 2)
Na: 0.250 0.500 0.496 (multiplicity 2)
Pd: 0.000 0.500 0.000 (multiplicity 2)
O: 0.250 0.244 0.802 (multiplicity 4)

Principal peaks in the range 2θ = 10–90°, by angle:
2θ (°)	d [Å]	I/Imax	(hkl)
17.62	5.034	65	0 0 1
23.94	3.717	42	1 0 1
27.99	3.188	100	1 1 1
28.80	3.099	75	0 2 0
35.66	2.518	75	2 1 0
37.79	2.380	71	1 2 1
38.61	2.332	86	0 1 2
40.04	2.252	55	2 1 1
49.02	1.858	35	2 0 2
57.86	1.594	28	2 2 2

***

# 7
Diffraction record for NaThSb2. The powder XRD pattern is computed, not measured: it uses a DFT-relaxed cell (GGA-PBE, Alexandria) and Cu Kα (λ = 1.5418 Å).

Crystal structure
abc: 4.6707 4.6707 20.7340
angles: 90.00 90.00 120.00
Space group R3m (No. 160, hexagonal axes)
Symmetry-distinct sites (fractional):
Na: 0.0000 0.0000 0.0000 (multiplicity 3)
Th: 0.0000 0.0000 0.8244 (multiplicity 3)
Sb: 0.0000 0.0000 0.2423 (multiplicity 3)
Sb: 0.0000 0.0000 0.4088 (multiplicity 3)

Principal peaks in the range 2θ = 10–90°, by angle:
2θ (°)	d [Å]	I/Imax	(hkl)
12.81	6.911	47	0 0 3
23.61	3.768	100	0 1 2
30.88	2.896	95	0 1 5
37.64	2.390	53	1 0 7
38.55	2.335	62	1 1 0
50.19	1.818	25	2 0 5
54.98	1.670	18	0 2 7
65.02	1.434	23	1 2 5
67.41	1.389	29	1 1 12
69.15	1.359	18	2 1 7

***

# 8
Diffraction record for RbNiI6. The powder XRD pattern is computed, not measured: it uses a DFT-relaxed cell (GGA-PBE, Alexandria) and Cu Kα (λ = 1.5418 Å).

Crystal structure
abc: 8.0101 8.0101 18.8137
angles: 90.00 90.00 120.00
Space group R-3m (No. 166, hexagonal axes)
Symmetry-distinct sites (fractional):
Rb: 0.0000 0.0000 0.0000 (multiplicity 3)
Ni: 0.0000 0.0000 0.5000 (multiplicity 3)
I: 0.0204 0.5102 0.0885 (multiplicity 18)

Principal peaks in the range 2θ = 10–90°, by angle:
2θ (°)	d [Å]	I/Imax	(hkl)
13.60	6.509	57	1 0 1
22.84	3.893	22	1 0 4
26.12	3.411	100	0 2 1
27.41	3.254	49	2 0 2
28.47	3.136	22	0 0 6
35.19	2.550	48	2 0 5
36.39	2.469	30	1 1 6
39.34	2.290	25	2 1 4
45.28	2.003	39	2 2 0
54.36	1.688	18	2 2 6

***

Copy entry 7 word for word.
Diffraction record for NaThSb2. The powder XRD pattern is computed, not measured: it uses a DFT-relaxed cell (GGA-PBE, Alexandria) and Cu Kα (λ = 1.5418 Å).

Crystal structure
abc: 4.6707 4.6707 20.7340
angles: 90.00 90.00 120.00
Space group R3m (No. 160, hexagonal axes)
Symmetry-distinct sites (fractional):
Na: 0.0000 0.0000 0.0000 (multiplicity 3)
Th: 0.0000 0.0000 0.8244 (multiplicity 3)
Sb: 0.0000 0.0000 0.2423 (multiplicity 3)
Sb: 0.0000 0.0000 0.4088 (multiplicity 3)

Principal peaks in the range 2θ = 10–90°, by angle:
2θ (°)	d [Å]	I/Imax	(hkl)
12.81	6.911	47	0 0 3
23.61	3.768	100	0 1 2
30.88	2.896	95	0 1 5
37.64	2.390	53	1 0 7
38.55	2.335	62	1 1 0
50.19	1.818	25	2 0 5
54.98	1.670	18	0 2 7
65.02	1.434	23	1 2 5
67.41	1.389	29	1 1 12
69.15	1.359	18	2 1 7